Structure and computed powder XRD pattern of TlAsAu2S4 (a cell relaxed with PBE; a wavelength of 1.5418 Å).
Intensities are scaled so that the largest is 100.

Principal peaks in the range 10 to 90 degrees two-theta, low angle first:
2θ (°)  d (Å)  intensity
17.52  5.062  40
21.80  4.077  62
27.54  3.238  100
28.10  3.175  39
28.37  3.146  28
33.40  2.683  39
36.06  2.491  52
41.96  2.153  35
44.40  2.041  33
49.73  1.834  22
53.57  1.711  16
55.12  1.666  22

Structural model:
Cell lengths 6.292, 8.154, 8.523 Å; angles 90.00, 90.00, 90.00 degrees
Positions (direct):
Tl1 0.000 0.000 0.000
Tl2 0.500 0.500 0.500
As1 0.000 0.000 0.500
As2 0.500 0.500 0.000
Au1 0.000 0.500 0.175
Au2 0.000 0.500 0.825
Au3 0.500 0.000 0.325
Au4 0.500 0.000 0.675
S1 0.195 0.162 0.344
S2 0.195 0.838 0.656
S3 0.305 0.338 0.844
S4 0.305 0.662 0.156
S5 0.695 0.338 0.156
S6 0.695 0.662 0.844
S7 0.805 0.162 0.656
S8 0.805 0.838 0.344

Structure and computed powder XRD pattern of Rb5Zn2Au5 (a cell relaxed with PBE; a wavelength of 1.5418 Å).
Intensities are scaled so that the largest is 100.

Principal peaks in the range 10 to 90 degrees two-theta, low angle first:
2θ (°)  d (Å)  intensity
18.42  4.818  47
20.80  4.270  25
27.17  3.282  100
28.63  3.118  71
29.74  3.004  19
31.81  2.813  27
36.81  2.442  67
37.33  2.409  33
39.63  2.274  35
51.69  1.769  14
54.55  1.682  21
55.58  1.654  20

Structural model:
Cell lengths 8.811, 8.811, 12.754 Å; angles 122.07, 122.07, 29.91 degrees
Positions (direct):
Rb1 0.000 0.000 0.000
Rb2 0.309 0.309 0.409
Rb3 0.368 0.368 0.174
Rb4 0.632 0.632 0.826
Rb5 0.691 0.691 0.591
Zn1 0.396 0.396 0.728
Zn2 0.604 0.604 0.272
Au1 0.000 0.000 0.500
Au2 0.063 0.063 0.336
Au3 0.312 0.312 0.852
Au4 0.688 0.688 0.148
Au5 0.937 0.937 0.664

Structure and computed powder XRD pattern of Ta3Nb2Mo7 (a cell relaxed with PBE; a wavelength of 1.5418 Å).
Intensities are scaled so that the largest is 100.

Principal peaks in the range 10 to 90 degrees two-theta, low angle first:
2θ (°)  d (Å)  intensity
25.53  3.489  18
39.77  2.267  54
40.37  2.234  100
40.54  2.225  51
40.65  2.220  98
58.09  1.588  35
59.16  1.562  14
72.60  1.302  17
72.78  1.299  17
73.45  1.289  18
73.67  1.286  15
74.01  1.281  16

Structural model:
Cell lengths 4.450, 4.533, 11.136 Å; angles 90.00, 101.00, 90.00 degrees
Positions (direct):
Ta1 0.000 0.000 0.000
Ta2 0.355 0.500 0.699
Ta3 0.645 0.500 0.301
Nb1 0.141 0.000 0.293
Nb2 0.859 0.000 0.707
Mo1 0.069 0.500 0.145
Mo2 0.286 0.000 0.565
Mo3 0.429 0.000 0.852
Mo4 0.500 0.500 0.000
Mo5 0.571 0.000 0.148
Mo6 0.714 0.000 0.435
Mo7 0.931 0.500 0.855

Structure and computed powder XRD pattern of La9YTm4 (a cell relaxed with PBE; a wavelength of 1.5418 Å).
Intensities are scaled so that the largest is 100.

Principal peaks in the range 10 to 90 degrees two-theta, low angle first:
2θ (°)  d (Å)  intensity
10.19  8.681  13
25.72  3.464  11
31.12  2.874  51
31.39  2.850  100
31.89  2.806  41
35.83  2.506  10
44.43  2.039  10
50.71  1.800  23
54.96  1.671  16
55.27  1.662  21
55.54  1.655  12
64.52  1.444  22

Structural model:
Cell lengths 10.024, 10.024, 11.496 Å; angles 90.00, 90.00, 120.00 degrees
Positions (direct):
La1 0.079 0.540 0.250
La2 0.206 0.413 0.528
La3 0.206 0.413 0.972
La4 0.206 0.794 0.528
La5 0.206 0.794 0.972
La6 0.413 0.206 0.028
La7 0.413 0.206 0.472
La8 0.460 0.540 0.250
La9 0.460 0.921 0.250
La10 0.540 0.079 0.750
La11 0.540 0.460 0.750
La12 0.587 0.794 0.528
La13 0.587 0.794 0.972
La14 0.794 0.206 0.028
La15 0.794 0.206 0.472
La16 0.794 0.587 0.028
La17 0.794 0.587 0.472
La18 0.921 0.460 0.750
Y1 0.333 0.667 0.750
Y2 0.667 0.333 0.250
Tm1 0.000 0.000 0.000
Tm2 0.000 0.000 0.500
Tm3 0.109 0.217 0.250
Tm4 0.109 0.891 0.250
Tm5 0.217 0.109 0.750
Tm6 0.783 0.891 0.250
Tm7 0.891 0.109 0.750
Tm8 0.891 0.783 0.750